[1]
Simulated powder X-ray diffraction pattern
Compound: CsIrN2
Radiation: λ = 1.5418 Å (Cu Kα)
Structure: a crystal structure in the Materials Project, relaxed with GGA-PBE
Kinematic intensities with the Lorentz-polarization factor, no thermal factor.

Structural model:
a b c (Å): 9.4531 10.2952 10.2957
angles (deg): 77.86 62.71 62.69
Sites, in units of the cell vectors:
Cs 0.0000 0.0000 0.0000
Cs 0.0329 0.2982 0.1140
Cs 0.1981 0.1992 0.4023
Cs 0.2500 0.5001 0.5001
Cs 0.3970 0.3860 0.7982
Cs 0.4451 0.7019 0.8860
Cs 0.5811 0.6141 0.2019
Cs 0.6474 0.9022 0.3009
Cs 0.7995 0.8009 0.5980
Cs 0.8503 0.0979 0.6992
Ir 0.1048 0.5942 0.1987
Ir 0.1431 0.8985 0.2974
Ir 0.2915 0.7972 0.6020
Ir 0.3385 0.1024 0.7026
Ir 0.4987 0.0000 0.0005
Ir 0.5530 0.3012 0.0950
Ir 0.6909 0.2031 0.3979
Ir 0.7494 0.4999 0.4998
Ir 0.8974 0.4055 0.8010
Ir 0.9490 0.6984 0.9058
N 0.1255 0.2652 0.7956
N 0.1710 0.7049 0.7646
N 0.1857 0.7355 0.2047
N 0.1883 0.8430 0.4676
N 0.2820 0.9671 0.6571
N 0.3051 0.9818 0.1660
N 0.3184 0.4302 0.1946
N 0.4533 0.0181 0.8340
N 0.5000 0.1562 0.5327
N 0.5344 0.1660 0.0073
N 0.5370 0.6660 0.5189
N 0.6398 0.2952 0.2355
N 0.7077 0.8342 0.9922
N 0.7213 0.3342 0.4820
N 0.7636 0.3052 0.9299
N 0.7907 0.4928 0.6665
N 0.9056 0.0327 0.3434
N 0.9437 0.5699 0.8051
N 0.9497 0.5082 0.3339
N 0.9985 0.6949 0.0702

Largest 10 diffraction maxima, most intense first, 2θ = 5–70°:
- 28.86 deg, rel. 100
- 30.91 deg, rel. 41
- 53.72 deg, rel. 35
- 49.82 deg, rel. 22
- 44.28 deg, rel. 14
- 59.79 deg, rel. 14
- 63.25 deg, rel. 11
- 38.08 deg, rel. 10
- 17.97 deg, rel. 9
- 64.41 deg, rel. 5

***

[2]
Simulated powder X-ray diffraction pattern
Compound: Cs2Na2IrO4
Radiation: λ = 1.5418 Å (Cu Kα)
Structure: a crystal structure in the Materials Project, relaxed with GGA-PBE
Kinematic intensities with the Lorentz-polarization factor, no thermal factor.

Structural model:
a b c (Å): 6.7549 6.7549 9.7653
angles (deg): 102.48 102.48 53.03
Sites, in units of the cell vectors:
Cs 0.1669 0.1669 0.3638
Cs 0.1702 0.1702 0.7414
Cs 0.8298 0.8298 0.2586
Cs 0.8331 0.8331 0.6362
Na 0.2834 0.2834 0.0742
Na 0.4739 0.4739 0.8404
Na 0.5261 0.5261 0.1596
Na 0.7166 0.7166 0.9258
Ir 0.0000 0.0000 0.0000
Ir 0.5000 0.5000 0.5000
O 0.1108 0.6559 0.9695
O 0.3441 0.8892 0.0305
O 0.3751 0.3751 0.5928
O 0.3952 0.3952 0.3141
O 0.6048 0.6048 0.6859
O 0.6249 0.6249 0.4072
O 0.6559 0.1108 0.9695
O 0.8892 0.3441 0.0305

Largest 10 diffraction maxima, most intense first, 2θ = 5–70°:
- 31.23 deg, rel. 100
- 26.89 deg, rel. 92
- 29.62 deg, rel. 75
- 27.18 deg, rel. 45
- 19.90 deg, rel. 40
- 30.59 deg, rel. 38
- 43.99 deg, rel. 33
- 31.77 deg, rel. 31
- 40.44 deg, rel. 31
- 18.08 deg, rel. 30

***

[3]
Simulated powder X-ray diffraction pattern
Compound: Cs6K7
Radiation: λ = 1.5418 Å (Cu Kα)
Structure: a crystal structure in the Materials Project, relaxed with GGA-PBE
Kinematic intensities with the Lorentz-polarization factor, no thermal factor.

Structural model:
a b c (Å): 9.1499 9.1499 33.2381
angles (deg): 90.00 90.00 120.00
Sites, in units of the cell vectors:
Cs 0.0000 0.0000 0.2500
Cs 0.0000 0.0000 0.7500
Cs 0.3333 0.6667 0.0230
Cs 0.3333 0.6667 0.1785
Cs 0.3333 0.6667 0.3215
Cs 0.3333 0.6667 0.4770
Cs 0.3333 0.6667 0.7500
Cs 0.6667 0.3333 0.2500
Cs 0.6667 0.3333 0.5230
Cs 0.6667 0.3333 0.6785
Cs 0.6667 0.3333 0.8215
Cs 0.6667 0.3333 0.9770
K 0.0000 0.0000 0.0000
K 0.0000 0.0000 0.5000
K 0.1672 0.3343 0.6146
K 0.1672 0.3343 0.8854
K 0.1672 0.8328 0.6146
K 0.1672 0.8328 0.8854
K 0.3343 0.1672 0.1146
K 0.3343 0.1672 0.3854
K 0.6657 0.8328 0.6146
K 0.6657 0.8328 0.8854
K 0.8328 0.1672 0.1146
K 0.8328 0.1672 0.3854
K 0.8328 0.6657 0.1146
K 0.8328 0.6657 0.3854

Largest 10 diffraction maxima, most intense first, 2θ = 5–70°:
- 19.40 deg, rel. 100
- 21.82 deg, rel. 100
- 22.18 deg, rel. 79
- 35.44 deg, rel. 56
- 33.97 deg, rel. 35
- 39.39 deg, rel. 33
- 45.48 deg, rel. 27
- 23.85 deg, rel. 26
- 35.67 deg, rel. 23
- 37.95 deg, rel. 22

***

[4]
Simulated powder X-ray diffraction pattern
Compound: CsK2
Radiation: λ = 1.5418 Å (Cu Kα)
Structure: a crystal structure in the Materials Project, relaxed with GGA-PBE
Kinematic intensities with the Lorentz-polarization factor, no thermal factor.

Structural model:
a b c (Å): 9.0665 9.0665 14.8478
angles (deg): 90.00 90.00 120.00
Sites, in units of the cell vectors:
Cs 0.3333 0.6667 0.0629
Cs 0.3333 0.6667 0.4371
Cs 0.6667 0.3333 0.5629
Cs 0.6667 0.3333 0.9371
K 0.0000 0.0000 0.0000
K 0.0000 0.0000 0.5000
K 0.1680 0.3360 0.7500
K 0.1680 0.8320 0.7500
K 0.3360 0.1680 0.2500
K 0.6640 0.8320 0.7500
K 0.8320 0.1680 0.2500
K 0.8320 0.6640 0.2500

Largest 10 diffraction maxima, most intense first, 2θ = 5–70°:
- 21.22 deg, rel. 100
- 22.99 deg, rel. 97
- 19.58 deg, rel. 67
- 35.26 deg, rel. 52
- 23.44 deg, rel. 50
- 37.99 deg, rel. 35
- 36.38 deg, rel. 33
- 39.77 deg, rel. 28
- 45.51 deg, rel. 25
- 54.98 deg, rel. 25

***

[5]
Simulated powder X-ray diffraction pattern
Compound: CsKNa2Li12Si4O16
Radiation: λ = 1.5418 Å (Cu Kα)
Structure: a crystal structure in the Materials Project, relaxed with GGA-PBE
Kinematic intensities with the Lorentz-polarization factor, no thermal factor.

Structural model:
a b c (Å): 8.5085 8.5085 8.5085
angles (deg): 98.21 98.21 135.59
Sites, in units of the cell vectors:
Cs 0.0000 0.0000 0.0000
K 0.5000 0.5000 0.0000
Na 0.2500 0.7500 0.5000
Na 0.7500 0.2500 0.5000
Li 0.0176 0.3718 0.8712
Li 0.0736 0.7101 0.7837
Li 0.1464 0.0176 0.6457
Li 0.2899 0.0736 0.3636
Li 0.3718 0.5006 0.3543
Li 0.4994 0.8537 0.8712
Li 0.5006 0.1464 0.1288
Li 0.6282 0.4994 0.6457
Li 0.7101 0.9264 0.6364
Li 0.8537 0.9824 0.3543
Li 0.9264 0.2899 0.2163
Li 0.9824 0.6282 0.1288
Si 0.2145 0.4215 0.6360
Si 0.4215 0.7855 0.2069
Si 0.5785 0.2145 0.7931
Si 0.7855 0.5785 0.3640
O 0.0795 0.1908 0.7008
O 0.1000 0.3272 0.4273
O 0.1620 0.5615 0.7235
O 0.1908 0.4900 0.1113
O 0.3272 0.9000 0.2272
O 0.3786 0.0795 0.8887
O 0.4385 0.1620 0.6005
O 0.4900 0.3786 0.2992
O 0.5100 0.6214 0.7008
O 0.5615 0.8380 0.3995
O 0.6214 0.9205 0.1113
O 0.6728 0.1000 0.7728
O 0.8092 0.5100 0.8887
O 0.8380 0.4385 0.2765
O 0.9000 0.6728 0.5727
O 0.9205 0.8092 0.2992

Largest 10 diffraction maxima, most intense first, 2θ = 5–70°:
- 37.88 deg, rel. 100
- 22.58 deg, rel. 90
- 36.05 deg, rel. 64
- 25.28 deg, rel. 44
- 15.91 deg, rel. 40
- 66.03 deg, rel. 32
- 32.14 deg, rel. 30
- 51.91 deg, rel. 27
- 59.87 deg, rel. 22
- 69.59 deg, rel. 21

***

[6]
Simulated powder X-ray diffraction pattern
Compound: CsKMg6
Radiation: λ = 1.5418 Å (Cu Kα)
Structure: a crystal structure in the Materials Project, relaxed with GGA-PBE
Kinematic intensities with the Lorentz-polarization factor, no thermal factor.

Structural model:
a b c (Å): 6.8367 5.0866 8.7954
angles (deg): 90.00 111.54 90.00
Sites, in units of the cell vectors:
Cs 0.0000 0.0000 0.0000
K 0.5100 0.0000 0.0203
Mg 0.0185 0.0000 0.5316
Mg 0.3225 0.5000 0.6458
Mg 0.4074 0.5000 0.3162
Mg 0.5144 0.0000 0.5326
Mg 0.8137 0.5000 0.6290
Mg 0.9099 0.5000 0.3177

Largest 10 diffraction maxima, most intense first, 2θ = 5–70°:
- 28.01 deg, rel. 100
- 20.57 deg, rel. 81
- 33.23 deg, rel. 45
- 33.64 deg, rel. 43
- 21.73 deg, rel. 33
- 35.29 deg, rel. 31
- 45.69 deg, rel. 27
- 28.54 deg, rel. 25
- 17.43 deg, rel. 24
- 13.93 deg, rel. 20

***

[7]
Simulated powder X-ray diffraction pattern
Compound: CsKMg14
Radiation: λ = 1.5418 Å (Cu Kα)
Structure: a crystal structure in the Materials Project, relaxed with GGA-PBE
Kinematic intensities with the Lorentz-polarization factor, no thermal factor.

Structural model:
a b c (Å): 11.1977 6.7552 6.7552
angles (deg): 58.00 90.00 90.00
Sites, in units of the cell vectors:
Cs 0.0000 0.0000 0.0000
K 0.0000 0.4982 0.4982
Mg 0.0000 0.0000 0.4992
Mg 0.0000 0.4992 0.0000
Mg 0.2588 0.6724 0.6724
Mg 0.2659 0.1755 0.1755
Mg 0.2810 0.1654 0.6575
Mg 0.2810 0.6575 0.1654
Mg 0.5000 0.0034 0.0034
Mg 0.5000 0.5001 0.9989
Mg 0.5000 0.5036 0.5036
Mg 0.5000 0.9989 0.5001
Mg 0.7190 0.1654 0.6575
Mg 0.7190 0.6575 0.1654
Mg 0.7341 0.1755 0.1755
Mg 0.7412 0.6724 0.6724

Largest 10 diffraction maxima, most intense first, 2θ = 5–70°:
- 35.19 deg, rel. 100
- 34.32 deg, rel. 52
- 31.97 deg, rel. 38
- 31.24 deg, rel. 32
- 7.90 deg, rel. 30
- 17.39 deg, rel. 21
- 16.97 deg, rel. 19
- 45.29 deg, rel. 19
- 64.47 deg, rel. 19
- 59.08 deg, rel. 18

***

[8]
Simulated powder X-ray diffraction pattern
Compound: CsKMg6
Radiation: λ = 1.5418 Å (Cu Kα)
Structure: a crystal structure in the Materials Project, relaxed with GGA-PBE
Kinematic intensities with the Lorentz-polarization factor, no thermal factor.

Structural model:
a b c (Å): 5.4648 7.3153 7.3153
angles (deg): 64.79 90.00 90.00
Sites, in units of the cell vectors:
Cs 0.0000 0.0000 0.0000
K 0.5000 0.1640 0.1640
Mg 0.0000 0.4915 0.4915
Mg 0.0000 0.5441 0.9477
Mg 0.0000 0.9477 0.5441
Mg 0.5000 0.2042 0.6092
Mg 0.5000 0.6092 0.2042
Mg 0.5000 0.6589 0.6589

Largest 10 diffraction maxima, most intense first, 2θ = 5–70°:
- 31.61 deg, rel. 100
- 33.32 deg, rel. 53
- 21.08 deg, rel. 52
- 13.38 deg, rel. 52
- 26.94 deg, rel. 34
- 32.78 deg, rel. 34
- 21.71 deg, rel. 24
- 29.45 deg, rel. 24
- 14.34 deg, rel. 20
- 42.92 deg, rel. 19